Theoretical powder XRD pattern of Fe5O7F3 for Cu Kα (weighted mean of Kα1 and Kα2), from a DFT-relaxed cell (PBE+U, Alexandria).

Cell and atoms:
Cell: 4.6653 4.6680 15.2145 Å, 90.08 90.04 91.51°
Fractional positions:
Fe1 0.0000 0.0000 0.0000
Fe2 0.0000 0.0059 0.6084
Fe3 0.0017 0.0037 0.1935
Fe4 0.0384 0.9770 0.4009
Fe5 0.0513 0.9484 0.8015
Fe6 0.5053 0.4430 0.3054
Fe7 0.5085 0.4398 0.4966
Fe8 0.5226 0.4780 0.7018
Fe9 0.5246 0.4751 0.9010
Fe10 0.5352 0.4660 0.0999
O1 0.1993 0.1560 0.5048
O2 0.1990 0.1588 0.2968
O3 0.2066 0.1806 0.0956
O4 0.2189 0.1644 0.9010
O5 0.2237 0.1645 0.7053
O6 0.3191 0.6582 0.4002
O7 0.3471 0.6515 0.8021
O8 0.6978 0.2845 0.2024
O9 0.6995 0.2879 0.6026
O10 0.7054 0.2964 0.9974
O11 0.7134 0.2564 0.4007
O12 0.8197 0.7929 0.0979
O13 0.8328 0.7783 0.7033
O14 0.8346 0.7822 0.9010
F1 0.3124 0.6714 0.6001
F2 0.3116 0.6753 0.2004
F3 0.3202 0.6801 0.0017
F4 0.7318 0.2704 0.8012
F5 0.8123 0.7695 0.5035
F6 0.8138 0.7684 0.2983

Principal peaks in the range 2θ = 5–70°, by angle:
- 2θ 26.7, intensity 95, (1 -1 0)
- 2θ 27.4, intensity 94, (1 1 0)
- 2θ 35.2, intensity 100, (1 0 5)
- 2θ 38.6, intensity 17, (2 0 0)
- 2θ 40.1, intensity 16, (1 -1 5)
- 2θ 52.8, intensity 55, (2 -1 5)
- 2θ 53.6, intensity 54, (2 1 5)
- 2θ 54.9, intensity 15, (2 -2 0)
- 2θ 60.9, intensity 16, (0 0 10)
- 2θ 67.7, intensity 48, (3 0 -5)